No. 1
Tb2PrNdEr4: calculated PXRD pattern (CuKα), based on the GGA-PBE geometry in Alexandria.
No peak broadening, texture or thermal motion is included.

Top 6 peaks for 2θ from 5° to 70°, in order of rising 2θ:
d (Å)  Position (°2θ)  intensity
3.315  26.90  45.2
2.949  30.31  100.0
2.203  40.96  88.6
1.703  53.85  20.0
1.514  61.20  27.2
1.445  64.49  23.1

Structural model:
```
Tb2PrNdEr4
1.0
6.8125 -6.6296 0.0000
6.8125 6.6296 0.0000
-3.3977 0.0000 5.8956
Tb Pr Nd Er
4 2 2 8
direct
0.0000 0.0000 0.0000
0.0000 0.0000 0.5000
0.0000 0.5000 0.0000
0.5000 0.0000 0.5000
0.5000 0.5000 0.0000
0.5000 0.5000 0.5000
0.0000 0.5000 0.5000
0.5000 0.0000 0.0000
0.2454 0.2477 0.9951
0.2469 0.7530 0.0010
0.2470 0.7531 0.4990
0.2477 0.2454 0.4951
0.7523 0.7546 0.5049
0.7530 0.2469 0.5010
0.7531 0.2470 0.9990
0.7546 0.7523 0.0049
```

***

No. 2
TbPrNd2Er5: calculated PXRD pattern (CuKα), based on the GGA-PBE geometry in Alexandria.
No peak broadening, texture or thermal motion is included.

Top 6 peaks for 2θ from 5° to 70°, in order of rising 2θ:
d (Å)  Position (°2θ)  intensity
3.109  28.72  45.7
3.085  28.95  51.8
2.890  30.94  100.0
2.391  37.63  15.9
2.097  43.13  19.5
1.741  52.57  22.4

Structural model:
```
TbPrNd2Er5
1.0
-4.3622 4.3622 7.7163
4.3622 -4.3622 7.7163
4.3622 4.3622 -7.7163
Tb Pr Nd Er
2 2 4 10
direct
0.2500 0.7500 0.5000
0.7500 0.2500 0.5000
0.2500 0.2500 0.0000
0.7500 0.7500 0.0000
0.1167 0.6167 0.7334
0.3833 0.1167 0.5000
0.6167 0.8833 0.5000
0.8833 0.3833 0.2666
0.0000 0.0000 0.0000
0.0727 0.1523 0.5000
0.1523 0.6523 0.0796
0.3477 0.4273 0.5000
0.4273 0.9273 0.0796
0.5000 0.5000 0.0000
0.5727 0.0727 0.9204
0.6523 0.5727 0.5000
0.8477 0.3477 0.9204
0.9273 0.8477 0.5000
```